The following is a calculated PXRD pattern of LiCoPO4. It was derived from a cell relaxed with GGA+U, using Cu Kα.
No peak broadening, texture or thermal motion is included.

Largest 10 diffraction maxima, by intensity, 10 to 80 degrees two-theta:
2theta, d/Å, Rel. int., hkl
24.43, 3.644, 100, 1 1 1
27.32, 3.264, 69, 1 0 2
21.89, 4.060, 53, 1 0 -2
20.22, 4.392, 50, 1 1 0
32.16, 2.783, 46, 2 1 -2
19.94, 4.454, 41, 0 1 1
59.24, 1.560, 24, 2 3 -2
33.65, 2.663, 24, 0 2 0
28.25, 3.159, 19, 2 1 -1
46.27, 1.962, 17, 3 0 2

Structure:
```
data_LiCoPO4
_chemical_formula_sum 'Li4 Co4 P4 O16'
_symmetry_space_group_name_H-M 'P 1 c 1'
_symmetry_Int_Tables_number 7
_symmetry_space_group_name_Hall 'P -2yc'
_cell_length_a 8.0428
_cell_length_b 5.3261
_cell_length_c 8.4133
_cell_angle_alpha 90.00
_cell_angle_beta 105.16
_cell_angle_gamma 90.00
loop_
_atom_site_label
_atom_site_type_symbol
_atom_site_fract_x
_atom_site_fract_y
_atom_site_fract_z
Li1 Li 0.0000 0.1608 0.0000
Li2 Li 0.5037 0.3328 0.6842
Co1 Co 0.1064 0.3456 0.3710
Co2 Co 0.6238 0.1664 0.0657
P1 P 0.3845 0.1654 0.3057
P2 P 0.8716 0.3297 0.6214
O1 O 0.0085 0.3279 0.7919
O2 O 0.1981 0.1724 0.1905
O3 O 0.3612 0.2999 0.4638
O4 O 0.4550 0.1056 0.8481
O5 O 0.5120 0.3103 0.2286
O6 O 0.7128 0.1787 0.6372
O7 O 0.8259 0.3904 0.0730
O8 O 0.9479 0.2025 0.4892
```